Diffraction record for Tb6SnHg6. The powder X-ray diffraction pattern is simulated, not measured: it uses a DFT-relaxed cell (GGA-PBE, Alexandria) and copper Kα.
Lines closer than 0.1° are merged.

Cell and atoms:
Lattice parameters (Å, degrees): 6.284 6.284 10.434 90.00 90.00 120.00
Fractional coordinates of all 13 atoms:
1 Tb 0.000 0.000 0.187
2 Tb 0.000 0.000 0.813
3 Tb 0.333 0.667 0.000
4 Tb 0.333 0.667 0.500
5 Tb 0.667 0.333 0.000
6 Tb 0.667 0.333 0.500
7 Sn 0.000 0.000 0.500
8 Hg 0.000 0.500 0.249
9 Hg 0.000 0.500 0.751
10 Hg 0.500 0.000 0.249
11 Hg 0.500 0.000 0.751
12 Hg 0.500 0.500 0.249
13 Hg 0.500 0.500 0.751

The 6 most intense peaks (2θ = 10–90°), by angle:
d_spacing  2theta  I (rel.)  index
2.721  32.92  47  2 0 0
2.692  33.29  45  1 1 2
2.609  34.38  30  0 0 4
2.413  37.27  100  2 0 2
1.571  58.78  27  2 2 0
1.346  69.90  24  2 2 4